# 1
For HfNb6Mo2, a structure optimized by DFT (PBE) gives the theoretical powder X-ray diffraction pattern in this record (Cu Kα, 1.54184 Å).

```
HfNb6Mo2
1.0
5.2700 -1.6425 0.0000
5.2700 1.6425 0.0000
-3.4527 0.0000 9.3602
Hf Nb Mo
1 6 2
Cartesian
0.0000 0.0000 0.0000
-1.0783 0.0000 3.0883
3.0085 0.0000 1.0940
1.9861 0.0000 4.1080
5.1013 0.0000 5.2522
4.0789 0.0000 8.2661
8.1657 0.0000 6.2718
0.8203 0.0000 7.2090
6.2670 0.0000 2.1512
```

Peak list (6 most intense, 2θ = 10–80°, sorted by position)
2θ 37.81, I 51.4; 2θ 38.53, I 100.0; 2θ 38.70, I 98.7; 2θ 39.11, I 47.9; 2θ 68.64, I 17.5; 2θ 70.39, I 32.7



# 2
For K2Au3, a structure optimized by DFT (PBE) gives the theoretical powder X-ray diffraction pattern in this record (Cu Kα, 1.54184 Å).

```
K2Au3
1.0
2.8413 -5.5355 0.0000
2.8413 5.5355 0.0000
0.0000 0.0000 8.9739
K Au
4 6
Cartesian
2.8413 3.6688 8.1670
2.8413 1.8667 3.6800
2.8413 -1.8667 5.2939
2.8413 -3.6688 0.8070
0.0000 0.0000 4.4870
1.4206 0.8090 6.7304
1.4206 -0.8090 2.2435
2.8413 0.0000 0.0000
4.2619 0.8090 6.7304
4.2619 -0.8090 2.2435
```

Peak list (6 most intense, 2θ = 10–80°, sorted by position)
2θ 16.01, I 100.0; 2θ 18.84, I 68.3; 2θ 30.55, I 41.1; 2θ 36.95, I 43.0; 2θ 37.47, I 66.1; 2θ 40.98, I 46.5



# 3
For PmNd2SmDy4, a structure optimized by DFT (PBE) gives the theoretical powder X-ray diffraction pattern in this record (Cu Kα, 1.54184 Å).

```
PmNd2SmDy4
1.0
6.8660 -6.6351 0.0000
6.8660 6.6351 0.0000
-3.4085 0.0000 5.9320
Pm Nd Sm Dy
2 4 2 8
Cartesian
0.0000 0.0000 0.0000
-1.7043 0.0000 2.9660
3.4330 3.3176 0.0000
1.7287 -3.3176 2.9660
6.8660 0.0000 0.0000
5.1617 0.0000 2.9660
1.7287 3.3176 2.9660
3.4330 -3.3176 0.0000
3.3712 3.3283 5.8804
1.7179 0.0047 2.9648
0.0136 -0.0047 5.9308
5.2479 3.3283 3.0176
5.0755 -3.3283 2.9144
10.3097 0.0047 0.0012
8.6054 -0.0047 2.9672
6.9521 -3.3283 0.0516
```

Peak list (6 most intense, 2θ = 10–80°, sorted by position)
2θ 26.87, I 50.9; 2θ 30.02, I 37.9; 2θ 30.13, I 75.7; 2θ 40.78, I 100.0; 2θ 60.75, I 20.2; 2θ 64.33, I 26.1



# 4
For HgSbOs, a structure optimized by DFT (PBE) gives the theoretical powder X-ray diffraction pattern in this record (Cu Kα, 1.54184 Å).

```
HgSbOs
1.0
3.2003 0.0000 0.0000
-1.6001 2.7715 0.0000
0.0000 0.0000 7.1896
Hg Sb Os
1 1 1
Cartesian
0.0000 0.0000 0.0000
0.0000 1.8477 4.1660
1.6001 0.9238 2.2650
```

Peak list (6 most intense, 2θ = 10–80°, sorted by position)
2θ 12.31, I 19.1; 2θ 34.69, I 100.0; 2θ 37.53, I 17.8; 2θ 41.13, I 61.1; 2θ 57.60, I 23.7; 2θ 70.80, I 17.0